Starting from a structure optimized by DFT (GGA+U), the powder diffraction line list of Ba2HoCoCu2O7 was calculated for Cu Kα, 1.54184 Å.
Neutral-atom scattering factors, no anomalous dispersion.

Principal peaks in the range 2θ = 10–90°, low angle first:
| d_spacing | I_rel |
| --- | --- |
| 2.780 | 90 |
| 2.757 | 100 |
| 2.747 | 98 |
| 2.255 | 34 |
| 1.959 | 29 |
| 1.926 | 28 |
| 1.603 | 30 |
| 1.597 | 38 |
| 1.584 | 33 |
| 1.374 | 17 |

Crystal structure
abc: 3.8529 3.9179 11.8392
angles: 90.00 90.00 90.00
Fractional positions:
Ba (0.0000, 0.0000, 0.1840)
Ba (0.0000, 0.0000, 0.8160)
Ho (0.0000, 0.0000, 0.5000)
Co (0.5000, 0.5000, 0.0000)
Cu (0.5000, 0.5000, 0.3625)
Cu (0.5000, 0.5000, 0.6375)
O (0.0000, 0.5000, 0.3806)
O (0.0000, 0.5000, 0.6194)
O (0.5000, 0.0000, 0.0000)
O (0.5000, 0.0000, 0.3794)
O (0.5000, 0.0000, 0.6206)
O (0.5000, 0.5000, 0.1520)
O (0.5000, 0.5000, 0.8480)